Record 1
Structure and simulated X-ray diffraction stick pattern of ZrNp2S4 (a cell relaxed with GGA-PBE; a wavelength of 1.5418 Å).
Neutral-atom scattering factors, no anomalous dispersion.

Largest 12 diffraction maxima, most intense first, 10 to 80 degrees two-theta:
2θ 32.90, intensity 100; 2θ 16.54, intensity 73; 2θ 47.62, intensity 70; 2θ 28.10, intensity 55; 2θ 28.98, intensity 51; 2θ 33.45, intensity 48; 2θ 37.04, intensity 42; 2θ 22.56, intensity 36; 2θ 23.63, intensity 32; 2θ 55.34, intensity 19; 2θ 58.10, intensity 19; 2θ 46.05, intensity 19

Structure:
a = 6.652 Å, b = 6.652 Å, c = 3.765 Å
α = 90.00°, β = 90.00°, γ = 107.32°
Positions (direct):
Zr1 0.000 0.000 0.000
Np1 0.000 0.500 0.500
Np2 0.500 0.000 0.500
S1 0.236 0.236 0.500
S2 0.249 0.751 0.000
S3 0.751 0.249 0.000
S4 0.764 0.764 0.500


Record 2
Structure and simulated X-ray diffraction stick pattern of Ba2Zn2PbO6 (a cell relaxed with GGA-PBE; a wavelength of 1.5418 Å).
Neutral-atom scattering factors, no anomalous dispersion.

Largest 12 diffraction maxima, most intense first, 10 to 80 degrees two-theta:
2θ 43.06, intensity 100; 2θ 31.29, intensity 90; 2θ 23.00, intensity 85; 2θ 28.83, intensity 34; 2θ 55.70, intensity 27; 2θ 63.92, intensity 23; 2θ 39.19, intensity 22; 2θ 68.98, intensity 22; 2θ 50.98, intensity 21; 2θ 72.89, intensity 20; 2θ 47.73, intensity 13; 2θ 65.29, intensity 11

Structure:
a = 5.717 Å, b = 5.717 Å, c = 6.194 Å
α = 90.00°, β = 90.00°, γ = 120.00°
Positions (direct):
Ba1 0.333 0.667 0.499
Ba2 0.667 0.333 0.501
Zn1 0.333 0.667 0.999
Zn2 0.667 0.333 0.001
Pb1 0.000 0.000 0.000
O1 0.000 0.339 0.811
O2 0.000 0.661 0.189
O3 0.339 0.000 0.811
O4 0.339 0.339 0.189
O5 0.661 0.000 0.189
O6 0.661 0.661 0.811


Record 3
Structure and simulated X-ray diffraction stick pattern of Mg4Ga5Au2 (a cell relaxed with GGA-PBE; a wavelength of 1.5418 Å).
Neutral-atom scattering factors, no anomalous dispersion.

Largest 12 diffraction maxima, most intense first, 10 to 80 degrees two-theta:
2θ 28.74, intensity 100; 2θ 38.28, intensity 86; 2θ 15.14, intensity 72; 2θ 12.33, intensity 71; 2θ 40.20, intensity 56; 2θ 37.45, intensity 56; 2θ 39.68, intensity 48; 2θ 23.50, intensity 40; 2θ 41.24, intensity 40; 2θ 50.16, intensity 37; 2θ 48.54, intensity 35; 2θ 28.94, intensity 32

Structure:
a = 7.194 Å, b = 3.106 Å, c = 9.274 Å
α = 90.00°, β = 93.54°, γ = 90.00°
Positions (direct):
Mg1 0.176 0.000 0.389
Mg2 0.257 0.000 0.942
Mg3 0.743 0.000 0.058
Mg4 0.824 0.000 0.611
Ga1 0.185 0.500 0.656
Ga2 0.453 0.500 0.198
Ga3 0.500 0.500 0.500
Ga4 0.547 0.500 0.802
Ga5 0.815 0.500 0.344
Au1 0.075 0.500 0.149
Au2 0.925 0.500 0.851